Structure and calculated XRD peak list of ThCr2B6 (a crystal structure in the Materials Project, relaxed with PBE; Cu Kα (λ = 1.5418 Å)).

Top 10 peaks for 2θ = 10–90°, by angle:
- 2θ 17.2, I 100
- 2θ 21.3, I 44
- 2θ 27.2, I 72
- 2θ 30.6, I 81
- 2θ 34.7, I 37
- 2θ 35.0, I 89
- 2θ 38.5, I 97
- 2θ 41.4, I 96
- 2θ 54.7, I 46
- 2θ 55.8, I 30

Structure:
```
ThCr2B6
1.0
-1.5594 3.2841 4.1786
1.5594 -3.2841 4.1786
1.5594 3.2841 -4.1786
Th Cr B
1 2 6
Cartesian
0.0000 0.0000 0.0000 Th
1.5594 0.0000 2.8893 Cr
0.0000 3.2841 1.2893 Cr
1.5594 1.7294 -1.6409 B
1.5594 2.3567 0.0000 B
1.5594 1.7294 1.6409 B
0.0000 1.5547 2.5377 B
0.0000 0.9274 4.1786 B
0.0000 1.5547 5.8194 B
```

=====

Structure and calculated XRD peak list of TiCrB4 (a crystal structure in the Materials Project, relaxed with PBE; Cu Kα (λ = 1.5418 Å)).

Top 10 peaks for 2θ = 10–90°, by angle:
- 2θ 14.4, I 2
- 2θ 29.1, I 21
- 2θ 34.3, I 64
- 2θ 45.6, I 100
- 2θ 60.4, I 8
- 2θ 61.5, I 23
- 2θ 69.5, I 10
- 2θ 71.3, I 13
- 2θ 72.3, I 6
- 2θ 79.8, I 16

Structure:
```
TiCrB4
1.0
3.0163 0.0000 0.0000
-1.5082 2.6122 0.0000
0.0000 0.0000 6.1316
Ti Cr B
1 1 4
Cartesian
0.0000 0.0000 0.0000 Ti
0.0000 0.0000 3.0658 Cr
0.0000 1.7415 1.5917 B
0.0000 1.7415 4.5399 B
1.5082 0.8707 1.5917 B
1.5082 0.8707 4.5399 B
```